Computed XRD peak list of HfNbH2 for Cu Kα X-rays, from a crystal structure in Alexandria, relaxed with GGA-PBE.
Neutral-atom scattering factors, no anomalous dispersion.

The 12 most intense peaks (2θ = 10–90°), in order of falling intensity:
d/Å, Position (°2θ), I_rel
2.569, 34.92, 100
2.552, 35.17, 99
2.509, 35.78, 92
2.700, 33.19, 91
2.381, 37.78, 66
2.399, 37.49, 64
2.621, 34.20, 52
5.138, 17.26, 49
1.853, 49.18, 32
1.870, 48.71, 31
1.453, 64.09, 31
1.461, 63.69, 31

Structural model:
```
HfNbH2
1.0
5.139 0.000 0.000
0.000 3.048 0.000
-0.114 0.000 5.814
Hf Nb H
2 2 4
direct
0.000 0.215 0.250 Hf
0.000 0.785 0.750 Hf
0.500 0.500 0.000 Nb
0.500 0.500 0.500 Nb
0.149 0.287 0.933 H
0.149 0.713 0.433 H
0.851 0.287 0.567 H
0.851 0.713 0.067 H
```